Starting from a DFT-relaxed cell (PBE, Alexandria), the X-ray powder pattern of Rb3NaNi2Cl8 was calculated for Cu Kα (λ = 1.5418 Å).
Peak positions follow from Bragg's law for the DFT cell and can differ from measured ones.

Principal peaks in the range 2θ = 10–90°, in order of rising 2θ:
h k l, 2θ (°), d [Å], intensity
0 1 2, 23.73, 3.750, 39.6
1 1 0, 24.68, 3.607, 100.0
0 0 3, 28.57, 3.124, 30.1
0 2 1, 30.16, 2.964, 31.6
1 0 3, 32.02, 2.795, 33.9
2 0 2, 34.50, 2.599, 70.2
3 0 0, 43.46, 2.082, 21.1
0 2 4, 48.56, 1.875, 23.0
2 2 0, 50.61, 1.803, 35.6
1 1 5, 55.21, 1.664, 27.4

Structural model:
```
data_Rb3NaNi2Cl8
_chemical_formula_sum 'Rb3 Na1 Ni2 Cl8'
_cell_length_a 7.2139
_cell_length_b 7.2139
_cell_length_c 9.3754
_cell_angle_alpha 90.00
_cell_angle_beta 90.00
_cell_angle_gamma 120.00
_symmetry_space_group_name_H-M 'P -3 m 1'
_symmetry_Int_Tables_number 164
_symmetry_space_group_name_Hall '-P 3 2"'
loop_
_atom_site_label
_atom_site_type_symbol
_atom_site_fract_x
_atom_site_fract_y
_atom_site_fract_z
Rb1 Rb 0.0000 0.0000 0.0000
Rb2 Rb 0.3333 0.6667 0.6247
Na1 Na 0.0000 0.0000 0.5000
Ni1 Ni 0.3333 0.6667 0.2024
Cl1 Cl 0.1728 0.3457 0.3147
Cl2 Cl 0.3333 0.6667 0.9684
```